# 1
Theoretical powder X-ray diffraction pattern
Compound: LaYMgCu
Radiation: Cu Kα (weighted mean of Kα1 and Kα2)
Structure: a cell relaxed with GGA-PBE
Peak positions follow from Bragg's law for the DFT cell and can differ from measured ones.

Structural model:
abc: 7.4676 7.4676 7.4676
angles: 90.00 90.00 90.00
Fractional positions:
La (0.0000, 0.0000, 0.0000)
La (0.0000, 0.5000, 0.5000)
La (0.5000, 0.0000, 0.5000)
La (0.5000, 0.5000, 0.0000)
Y (0.0000, 0.0000, 0.5000)
Y (0.0000, 0.5000, 0.0000)
Y (0.5000, 0.0000, 0.0000)
Y (0.5000, 0.5000, 0.5000)
Mg (0.2500, 0.2500, 0.2500)
Mg (0.2500, 0.7500, 0.7500)
Mg (0.7500, 0.2500, 0.7500)
Mg (0.7500, 0.7500, 0.2500)
Cu (0.2500, 0.2500, 0.7500)
Cu (0.2500, 0.7500, 0.2500)
Cu (0.7500, 0.2500, 0.2500)
Cu (0.7500, 0.7500, 0.7500)

Main lines, by intensity (5° ≤ 2θ ≤ 70°):
| 2θ (°) | intensity |
| --- | --- |
| 34.0 | 100 |
| 60.8 | 36 |
| 23.8 | 21 |
| 48.8 | 18 |
| 20.6 | 9 |
| 55.0 | 9 |

---

# 2
Theoretical powder X-ray diffraction pattern
Compound: Ca2GeAu6
Radiation: Cu Kα (weighted mean of Kα1 and Kα2)
Structure: a cell relaxed with GGA-PBE
Peak positions follow from Bragg's law for the DFT cell and can differ from measured ones.

Structural model:
abc: 6.2625 6.2625 5.6026
angles: 90.10 90.10 60.23
Fractional positions:
Ca (0.1672, 0.1672, 0.3234)
Ca (0.8328, 0.8328, 0.6766)
Ge (0.5000, 0.5000, 0.5000)
Au (0.1353, 0.6828, 0.1911)
Au (0.3172, 0.8647, 0.8089)
Au (0.3183, 0.3183, 0.8103)
Au (0.6817, 0.6817, 0.1897)
Au (0.6828, 0.1353, 0.1911)
Au (0.8647, 0.3172, 0.8089)

Main lines, by intensity (5° ≤ 2θ ≤ 70°):
| 2θ (°) | intensity |
| --- | --- |
| 36.8 | 100 |
| 22.8 | 37 |
| 46.5 | 24 |
| 31.9 | 18 |
| 33.0 | 14 |
| 36.1 | 13 |